# 1
This entry pairs a crystal structure of CsCuH4 with its computed X-ray diffraction stick pattern. Radiation: λ = 1.5418 Å (Cu Kα). Structure: a crystal structure in OQMD, relaxed with GGA-PBE.

abc: 10.840 6.560 6.015
angles: 90.00 103.30 90.00
Space group C2/m (No. 12)
Inequivalent atoms, fractional coordinates:
1 Cs 0.222 0.000 0.230
2 Cu 0.097 0.500 0.129
3 H 0.000 0.306 0.000
4 H 0.007 0.279 0.440
5 H 0.234 0.500 0.277

Principal peaks in the range 10° ≤ 2θ ≤ 90°, most intense first:
23.3 deg, I = 100; 27.2 deg, I = 75; 29.8 deg, I = 74; 31.3 deg, I = 64; 16.8 deg, I = 54; 35.4 deg, I = 50; 42.0 deg, I = 43; 19.9 deg, I = 36

---

# 2
This entry pairs a crystal structure of HfAlNiPd with its computed X-ray diffraction stick pattern. Radiation: λ = 1.5418 Å (Cu Kα). Structure: a crystal structure in OQMD, relaxed with GGA-PBE.

abc: 4.1883 4.1883 8.2863
angles: 90.00 90.00 120.00
Space group P-6m2 (No. 187)
Inequivalent atoms, fractional coordinates:
1 Hf 0.0000 0.0000 0.0000
2 Hf 0.3333 0.6667 0.5000
3 Al 0.6667 0.3333 0.2302
4 Ni 0.3333 0.6667 0.1592
5 Pd 0.0000 0.0000 0.3323

Principal peaks in the range 10° ≤ 2θ ≤ 90°, most intense first:
41.1 deg, I = 100; 43.2 deg, I = 66; 24.5 deg, I = 49; 61.1 deg, I = 30; 77.8 deg, I = 30; 26.8 deg, I = 19; 83.9 deg, I = 14; 32.8 deg, I = 12

---

# 3
This entry pairs a crystal structure of Cs2Tb4Cu4Te9 with its computed X-ray diffraction stick pattern. Radiation: λ = 1.5418 Å (Cu Kα). Structure: a crystal structure in OQMD, relaxed with GGA-PBE.

abc: 15.646 4.413 17.841
angles: 90.00 108.19 90.00
Space group C2/m (No. 12)
Inequivalent atoms, fractional coordinates:
1 Cs 0.033 0.000 0.274
2 Tb 0.153 0.500 0.556
3 Tb 0.228 0.000 0.100
4 Cu 0.077 0.500 0.974
5 Cu 0.248 0.000 0.735
6 Te 0.000 0.000 0.500
7 Te 0.103 0.500 0.127
8 Te 0.136 0.000 0.922
9 Te 0.156 0.500 0.727
10 Te 0.205 0.500 0.399

Principal peaks in the range 10° ≤ 2θ ≤ 90°, most intense first:
26.9 deg, I = 100; 40.9 deg, I = 76; 28.6 deg, I = 69; 26.5 deg, I = 59; 27.1 deg, I = 57; 28.4 deg, I = 42; 11.9 deg, I = 42; 25.2 deg, I = 39

---

Question: What is the formula in the first record?
Answer: CsCuH4